No. 1
Computed powder XRD pattern
Compound: TlCuNiSe2S
Radiation: Cu Kα (λ = 1.5418 Å)
Structure: a structure optimized by DFT (PBE)
Peak positions follow from Bragg's law for the DFT cell and can differ from measured ones.

Principal peaks in the range 2θ = 10–90°, by intensity:
2θ = 32.6°, intensity 100.0; 2θ = 31.4°, intensity 64.2; 2θ = 22.2°, intensity 56.8; 2θ = 36.9°, intensity 47.3; 2θ = 27.1°, intensity 41.8; 2θ = 37.8°, intensity 38.7; 2θ = 57.1°, intensity 32.2; 2θ = 36.4°, intensity 27.9

Structural model:
```
data_TlCuNiSe2S
_chemical_formula_sum 'Tl2 Cu2 Ni2 Se4 S2'
_cell_length_a 7.254
_cell_length_b 7.254
_cell_length_c 9.755
_cell_angle_alpha 90.00
_cell_angle_beta 90.00
_cell_angle_gamma 151.13
_symmetry_space_group_name_H-M 'P 1'
_symmetry_Int_Tables_number 1
loop_
_symmetry_equiv_pos_as_xyz
'x,y,z'
loop_
_atom_site_label
_atom_site_fract_x
_atom_site_fract_y
_atom_site_fract_z
_atom_site_occupancy
Tl1 0.250 0.750 0.750 1
Tl2 0.750 0.250 0.250 1
Cu1 0.038 0.962 0.250 1
Cu2 0.962 0.038 0.750 1
Ni1 0.500 0.500 0.000 1
Ni2 0.500 0.500 0.500 1
Se1 0.114 0.886 0.029 1
Se2 0.114 0.886 0.471 1
Se3 0.886 0.114 0.529 1
Se4 0.886 0.114 0.971 1
S1 0.444 0.556 0.250 1
S2 0.556 0.444 0.750 1
```

---

No. 2
Computed powder XRD pattern
Compound: TlCuNiTe2S
Radiation: Cu Kα (λ = 1.5418 Å)
Structure: a structure optimized by DFT (PBE)
Peak positions follow from Bragg's law for the DFT cell and can differ from measured ones.

Principal peaks in the range 2θ = 10–90°, by intensity:
2θ = 29.9°, intensity 100.0; 2θ = 31.2°, intensity 92.3; 2θ = 42.7°, intensity 53.7; 2θ = 37.1°, intensity 50.8; 2θ = 36.8°, intensity 47.0; 2θ = 21.7°, intensity 43.1; 2θ = 29.8°, intensity 41.7; 2θ = 35.1°, intensity 40.3

Structural model:
```
data_TlCuNiTe2S
_chemical_formula_sum 'Tl2 Cu2 Ni2 Te4 S2'
_cell_length_a 7.769
_cell_length_b 7.769
_cell_length_c 9.771
_cell_angle_alpha 90.00
_cell_angle_beta 90.00
_cell_angle_gamma 152.17
_symmetry_space_group_name_H-M 'P 1'
_symmetry_Int_Tables_number 1
loop_
_symmetry_equiv_pos_as_xyz
'x,y,z'
loop_
_atom_site_label
_atom_site_fract_x
_atom_site_fract_y
_atom_site_fract_z
_atom_site_occupancy
Tl1 0.243 0.757 0.750 1
Tl2 0.757 0.243 0.250 1
Cu1 0.024 0.976 0.250 1
Cu2 0.976 0.024 0.750 1
Ni1 0.500 0.500 0.000 1
Ni2 0.500 0.500 0.500 1
Te1 0.121 0.879 0.034 1
Te2 0.121 0.879 0.466 1
Te3 0.879 0.121 0.534 1
Te4 0.879 0.121 0.966 1
S1 0.442 0.558 0.250 1
S2 0.558 0.442 0.750 1
```